# 1
Diffraction record for RbMg14Zn. The X-ray powder pattern is simulated, not measured: it uses a crystal structure in the Materials Project, relaxed with GGA-PBE and Cu Ka.
No peak broadening, texture or thermal motion is included.

Most intense lines, 2θ = 10–90°, most intense first:
2θ = 35.97°, I 100; 2θ = 31.63°, I 27; 2θ = 33.74°, I 25; 2θ = 15.67°, I 20; 2θ = 22.97°, I 19; 2θ = 67.31°, I 18; 2θ = 56.34°, I 17; 2θ = 61.81°, I 17; 2θ = 46.92°, I 17; 2θ = 68.68°, I 14

Structure:
Lattice parameters (Å, degrees): 6.5321 6.5321 10.6250 90.00 90.00 120.00
Space group P-6m2 (No. 187)
One atom of each set of equivalent atoms:
Rb1 0.0000 0.0000 0.0000 x1
Mg1 0.0076 0.5038 0.0000 x3
Mg2 0.1698 0.3395 0.2697 x6
Mg3 0.5022 0.0044 0.5000 x3
Mg4 0.6667 0.3333 0.2453 x2
Zn1 0.0000 0.0000 0.5000 x1

***

# 2
Diffraction record for RbMg6Zr. The X-ray powder pattern is simulated, not measured: it uses a crystal structure in the Materials Project, relaxed with GGA-PBE and Cu Ka.
No peak broadening, texture or thermal motion is included.

Most intense lines, 2θ = 10–90°, most intense first:
2θ = 32.35°, I 100; 2θ = 18.36°, I 34; 2θ = 37.22°, I 32; 2θ = 26.40°, I 25; 2θ = 64.05°, I 21; 2θ = 54.34°, I 21; 2θ = 38.13°, I 17; 2θ = 26.08°, I 15; 2θ = 18.80°, I 15; 2θ = 46.21°, I 13

Structure:
Lattice parameters (Å, degrees): 4.720 9.662 9.666 90.00 90.00 90.00
Space group Amm2 (No. 38)
One atom of each set of equivalent atoms:
Rb1 0.000 0.000 0.000 x2
Mg1 0.000 0.241 0.258 x4
Mg2 0.500 0.000 0.291 x2
Mg3 0.500 0.000 0.726 x2
Mg4 0.500 0.218 0.513 x4
Zr1 0.000 0.000 0.512 x2

***

# 3
Diffraction record for RbMg6Zr. The X-ray powder pattern is simulated, not measured: it uses a crystal structure in the Materials Project, relaxed with GGA-PBE and Cu Ka.
No peak broadening, texture or thermal motion is included.

Most intense lines, 2θ = 10–90°, most intense first:
2θ = 34.88°, I 100; 2θ = 22.67°, I 45; 2θ = 35.22°, I 44; 2θ = 34.16°, I 35; 2θ = 65.73°, I 31; 2θ = 22.80°, I 23; 2θ = 30.29°, I 22; 2θ = 26.38°, I 21; 2θ = 15.01°, I 19; 2θ = 61.62°, I 18

Structure:
Lattice parameters (Å, degrees): 5.250 6.844 11.656 90.00 90.00 90.00
Space group Amm2 (No. 38)
One atom of each set of equivalent atoms:
Rb1 0.000 0.000 0.000 x2
Mg1 0.000 0.000 0.490 x2
Mg2 0.000 0.236 0.255 x4
Mg3 0.500 0.000 0.815 x2
Mg4 0.500 0.231 0.584 x4
Zr1 0.500 0.000 0.330 x2

***

# 4
Diffraction record for RbMg6Zr. The X-ray powder pattern is simulated, not measured: it uses a crystal structure in the Materials Project, relaxed with GGA-PBE and Cu Ka.
No peak broadening, texture or thermal motion is included.

Most intense lines, 2θ = 10–90°, most intense first:
2θ = 32.42°, I 100; 2θ = 18.23°, I 34; 2θ = 36.94°, I 33; 2θ = 26.57°, I 24; 2θ = 63.73°, I 22; 2θ = 54.73°, I 20; 2θ = 25.89°, I 16; 2θ = 38.91°, I 16; 2θ = 19.17°, I 14; 2θ = 46.09°, I 13

Structure:
Lattice parameters (Å, degrees): 6.882 6.882 4.630 90.00 90.00 90.00
Space group P4/mmm (No. 123)
One atom of each set of equivalent atoms:
Rb1 0.000 0.000 0.000 x1
Mg1 0.000 0.500 0.000 x2
Mg2 0.282 0.282 0.500 x4
Zr1 0.500 0.500 0.000 x1

***

# 5
Diffraction record for Mg3Re. The X-ray powder pattern is simulated, not measured: it uses a crystal structure in the Materials Project, relaxed with GGA-PBE and Cu Ka.
No peak broadening, texture or thermal motion is included.

Most intense lines, 2θ = 10–90°, most intense first:
2θ = 25.40°, I 100; 2θ = 39.90°, I 88; 2θ = 17.33°, I 47; 2θ = 30.25°, I 45; 2θ = 50.87°, I 35; 2θ = 48.79°, I 25; 2θ = 37.35°, I 23; 2θ = 35.07°, I 21; 2θ = 75.50°, I 17; 2θ = 69.08°, I 17

Structure:
Lattice parameters (Å, degrees): 5.9097 5.9097 4.8148 90.00 90.00 120.00
Space group P6_3/mmc (No. 194)
One atom of each set of equivalent atoms:
Mg1 0.1746 0.3492 0.2500 x6
Re1 0.3333 0.6667 0.7500 x2

***

# 6
Diffraction record for Mg3Re. The X-ray powder pattern is simulated, not measured: it uses a crystal structure in the Materials Project, relaxed with GGA-PBE and Cu Ka.
No peak broadening, texture or thermal motion is included.

Most intense lines, 2θ = 10–90°, most intense first:
2θ = 21.39°, I 100; 2θ = 37.49°, I 89; 2θ = 30.43°, I 85; 2θ = 49.03°, I 46; 2θ = 43.57°, I 44; 2θ = 54.07°, I 35; 2θ = 75.96°, I 33; 2θ = 63.31°, I 29; 2θ = 67.65°, I 23; 2θ = 87.94°, I 19

Structure:
Lattice parameters (Å, degrees): 4.155 4.155 4.155 90.00 90.00 90.00
Space group Pm-3m (No. 221)
One atom of each set of equivalent atoms:
Mg1 0.000 0.000 0.500 x3
Re1 0.500 0.500 0.500 x1

***

# 7
Diffraction record for Mg5Rh2. The X-ray powder pattern is simulated, not measured: it uses a crystal structure in the Materials Project, relaxed with GGA-PBE and Cu Ka.
No peak broadening, texture or thermal motion is included.

Most intense lines, 2θ = 10–90°, most intense first:
2θ = 26.35°, I 100; 2θ = 37.94°, I 81; 2θ = 41.22°, I 80; 2θ = 38.95°, I 79; 2θ = 21.87°, I 59; 2θ = 11.90°, I 55; 2θ = 45.35°, I 33; 2θ = 42.08°, I 29; 2θ = 23.93°, I 20; 2θ = 44.58°, I 18

Structure:
Lattice parameters (Å, degrees): 8.5891 8.5891 8.1293 90.00 90.00 120.00
Space group P6_3/mmc (No. 194)
One atom of each set of equivalent atoms:
Mg1 0.0000 0.0000 0.0000 x2
Mg2 0.0801 0.5401 0.2500 x6
Mg3 0.1918 0.3836 0.5628 x12
Rh1 0.1216 0.2432 0.2500 x6
Rh2 0.3333 0.6667 0.7500 x2

***

# 8
Diffraction record for MgRh. The X-ray powder pattern is simulated, not measured: it uses a crystal structure in the Materials Project, relaxed with GGA-PBE and Cu Ka.
No peak broadening, texture or thermal motion is included.

Most intense lines, 2θ = 10–90°, most intense first:
2θ = 40.82°, I 100; 2θ = 28.55°, I 49; 2θ = 74.31°, I 32; 2θ = 66.92°, I 17; 2θ = 59.10°, I 16; 2θ = 50.56°, I 13; 2θ = 88.44°, I 10

Structure:
Lattice parameters (Å, degrees): 3.127 3.127 3.127 90.00 90.00 90.00
Space group Pm-3m (No. 221)
One atom of each set of equivalent atoms:
Mg1 0.000 0.000 0.000 x1
Rh1 0.500 0.500 0.500 x1